(1)
Simulated powder X-ray diffraction pattern of Ce5PuPd for CuKα, from a PBE-relaxed structure.
Lines closer than 0.1° are merged.

Structural model:
```
Ce5PuPd
1.0
4.9077 -3.6965 0.0000
4.9077 3.6965 0.0000
-3.8951 0.0000 9.9294
Ce Pu Pd
10 2 2
Cartesian
1.9864 3.4792 7.4470
1.9488 1.0328 1.0776
2.1142 1.4563 4.4648
0.0013 -1.0328 6.0423
5.7537 1.4563 0.4998
0.1667 -1.4563 9.4295
5.9191 1.0328 3.8871
3.8062 -1.4563 5.4645
3.9715 -1.0328 8.8518
3.9340 -3.4792 2.4823
0.0000 0.0000 0.0000
-1.9475 0.0000 4.9647
1.9864 0.5059 7.4470
3.9340 -0.5059 2.4823
```

Principal peaks in the range 2θ = 5–70°, low angle first:
2θ (°)	I/Imax
15.4	55
20.8	52
29.9	62
30.3	37
31.1	51
34.2	34
34.2	100
36.4	39
37.8	35
46.7	42

***

(2)
Simulated powder X-ray diffraction pattern of CePu3Pd4 for CuKα, from a PBE-relaxed structure.
Lines closer than 0.1° are merged.

Structural model:
```
CePu3Pd4
1.0
3.1948 0.0000 0.0000
0.0000 5.2351 0.0000
0.0000 0.0000 10.4616
Ce Pu Pd
1 3 4
Cartesian
0.0000 0.0000 0.0000
0.0000 0.0000 5.2308
0.0000 2.6176 2.6333
0.0000 2.6176 7.8282
1.5974 0.0000 2.5918
1.5974 0.0000 7.8698
1.5974 2.6176 0.0000
1.5974 2.6176 5.2308
```

Principal peaks in the range 2θ = 5–70°, low angle first:
2θ (°)	I/Imax
8.5	4
24.1	15
27.9	5
34.3	62
37.2	100
44.8	6
49.3	23
57.7	7
63.3	43
68.9	17

***

(3)
Simulated powder X-ray diffraction pattern of Ce6PuPd3 for CuKα, from a PBE-relaxed structure.
Lines closer than 0.1° are merged.

Structural model:
```
Ce6PuPd3
1.0
6.4697 0.0000 0.0000
0.0000 7.6762 0.0000
-6.0464 0.0000 10.1155
Ce Pu Pd
12 2 6
Cartesian
-0.7520 0.3209 2.3350
-3.7752 3.5172 7.3928
0.9043 5.4540 0.6140
-2.1189 6.0604 5.6717
2.1155 1.1539 0.5615
-0.9077 2.6842 5.6192
1.3310 4.9920 4.4963
-1.6922 6.5223 9.5540
2.5421 1.6159 4.4438
-0.4811 2.2222 9.5015
4.1985 4.1591 2.7227
1.1753 7.3553 7.7805
0.0000 0.0000 0.0000
-3.0232 3.8381 5.0577
-2.4481 0.7535 7.4078
0.5751 3.0846 2.3500
0.2116 0.0000 5.0577
3.2348 3.8381 0.0000
-0.1519 4.5916 7.7655
2.8713 6.9227 2.7077
```

Principal peaks in the range 2θ = 5–70°, low angle first:
2θ (°)	I/Imax
14.5	82
17.9	62
30.0	52
31.0	69
31.6	90
32.7	95
35.5	100
37.8	97
46.7	66
53.8	48

***

(4)
Simulated powder X-ray diffraction pattern of CePuPd3 for CuKα, from a PBE-relaxed structure.
Lines closer than 0.1° are merged.

Structural model:
```
CePuPd3
1.0
2.7800 1.6050 7.9166
-2.7800 1.6050 7.9166
0.0000 -3.2101 7.9166
Ce Pu Pd
2 2 6
Cartesian
0.0000 0.0000 4.5504
0.0000 0.0000 19.1995
0.0000 0.0000 7.3743
0.0000 0.0000 16.3756
-1.3917 -0.8035 13.8396
0.0000 -1.6071 9.9103
-1.3918 0.8035 9.9103
1.3917 -0.8035 13.8396
0.0000 1.6071 13.8396
1.3917 0.8035 9.9103
```

Principal peaks in the range 2θ = 5–70°, low angle first:
2θ (°)	I/Imax
19.9	38
32.2	31
35.5	77
38.1	100
39.6	59
40.4	29
42.4	36
59.6	35
64.5	21
67.4	27

***

(5)
Simulated powder X-ray diffraction pattern of Ce2PuSi2Pd2 for CuKα, from a PBE-relaxed structure.
Lines closer than 0.1° are merged.

Structural model:
```
Ce2PuSi2Pd2
1.0
2.1540 1.2436 8.9930
-2.1540 1.2436 8.9930
0.0000 -2.4872 8.9930
Ce Pu Si Pd
2 1 2 2
Cartesian
0.0000 0.0000 3.7228
0.0000 0.0000 23.2562
0.0000 0.0000 0.0000
0.0000 0.0000 7.0236
0.0000 0.0000 19.9554
0.0000 0.0000 10.9176
0.0000 0.0000 16.0613
```

Principal peaks in the range 2θ = 5–70°, low angle first:
2θ (°)	I/Imax
24.1	29
24.8	22
29.1	38
33.4	100
35.9	55
41.9	81
50.8	15
54.7	25
56.4	15
67.9	34

***

(6)
Simulated powder X-ray diffraction pattern of Rb2CePd2S4 for CuKα, from a PBE-relaxed structure.
Lines closer than 0.1° are merged.

Structural model:
```
Rb2CePd2S4
1.0
7.5017 -2.0657 0.0000
7.5017 2.0657 0.0000
-2.4501 0.0000 7.3751
Rb Ce Pd S
2 1 2 4
Cartesian
1.8354 0.0000 0.4940
10.7180 0.0000 6.8810
-1.2250 0.0000 3.6875
3.4669 0.0000 3.6250
9.0865 0.0000 3.7500
1.2929 0.0000 4.9001
5.4859 0.0000 5.3505
7.0675 0.0000 2.0245
11.2604 0.0000 2.4749
```

Principal peaks in the range 2θ = 5–70°, low angle first:
2θ (°)	I/Imax
12.0	100
24.1	63
28.7	63
31.2	27
31.6	34
33.5	63
33.6	43
41.8	19
43.8	40
51.9	29

***

(7)
Simulated powder X-ray diffraction pattern of Ce2Pd9Rh for CuKα, from a PBE-relaxed structure.
Lines closer than 0.1° are merged.

Structural model:
```
Ce2Pd9Rh
1.0
4.1163 0.0000 0.0000
0.0000 4.1163 0.0000
0.0000 0.0000 12.0191
Ce Pd Rh
2 9 1
Cartesian
0.0000 0.0000 2.1410
0.0000 0.0000 9.8782
0.0000 2.0582 0.0000
0.0000 2.0582 4.1023
0.0000 2.0582 7.9168
2.0582 0.0000 0.0000
2.0582 0.0000 4.1023
2.0582 0.0000 7.9168
2.0582 2.0582 2.0512
2.0582 2.0582 6.0096
2.0582 2.0582 9.9680
0.0000 0.0000 6.0096
```

Principal peaks in the range 2θ = 5–70°, low angle first:
2θ (°)	I/Imax
34.2	1
37.4	1
38.2	100
43.3	1
44.0	34
45.3	15
59.1	1
64.0	11
65.0	19

***

(8)
Simulated powder X-ray diffraction pattern of Ce4Pd6Rh7 for CuKα, from a PBE-relaxed structure.
Lines closer than 0.1° are merged.

Structural model:
```
Ce4Pd6Rh7
1.0
-4.2331 4.2331 4.2331
4.2331 -4.2331 4.2331
4.2331 4.2331 -4.2331
Ce Pd Rh
4 6 7
Cartesian
2.1166 2.1166 -2.1166
2.1166 -2.1166 2.1166
-2.1166 2.1166 2.1166
2.1166 2.1166 2.1166
2.5485 0.0000 0.0000
5.9178 0.0000 0.0000
0.0000 2.5485 0.0000
0.0000 0.0000 2.5485
0.0000 5.9178 0.0000
0.0000 0.0000 5.9178
0.0000 0.0000 0.0000
4.2331 2.1166 0.0000
4.2331 0.0000 2.1166
2.1166 4.2331 0.0000
2.1166 0.0000 4.2331
0.0000 4.2331 2.1166
0.0000 2.1166 4.2331
```

Principal peaks in the range 2θ = 5–70°, low angle first:
2θ (°)	I/Imax
29.8	10
33.5	7
36.8	100
39.8	12
42.7	61
45.5	9
50.6	11
62.0	33
64.1	2
66.2	2

***

(9)
Simulated powder X-ray diffraction pattern of Ce2PdS4 for CuKα, from a PBE-relaxed structure.
Lines closer than 0.1° are merged.

Structural model:
```
Ce2PdS4
1.0
6.6709 0.0000 0.0000
0.0000 5.8020 0.0000
-2.3180 0.0000 7.5589
Ce Pd S
4 2 8
Cartesian
0.6082 1.4505 3.2956
-0.5220 1.4505 7.0746
4.8749 4.3515 0.4843
3.7447 4.3515 4.2633
1.3053 4.3515 1.4064
3.0476 1.4505 6.1525
-1.6653 4.3515 6.6821
-0.5179 4.3515 2.9678
1.4048 3.0200 5.5969
1.4048 5.6829 5.5969
2.9481 0.1190 1.9620
2.9481 2.7819 1.9620
4.8708 1.4505 4.5911
6.0182 1.4505 0.8768
```

Principal peaks in the range 2θ = 5–70°, low angle first:
2θ (°)	I/Imax
20.7	39
28.0	28
28.2	65
30.8	62
34.6	100
39.2	22
42.1	41
45.0	21
45.2	22
45.9	26

***

(10)
Simulated powder X-ray diffraction pattern of Ce2PdS3 for CuKα, from a PBE-relaxed structure.
Lines closer than 0.1° are merged.

Structural model:
```
Ce2PdS3
1.0
8.0931 0.0000 0.0000
0.0000 3.9740 0.0000
0.0000 0.0000 15.7495
Ce Pd S
8 4 12
Cartesian
0.6275 0.9935 3.4873
1.9754 2.9805 7.4030
2.0711 0.9935 15.2778
3.4191 2.9805 11.3621
4.6740 0.9935 4.3874
6.0220 2.9805 0.4717
6.1176 0.9935 8.3465
7.4656 2.9805 12.2622
0.9784 0.9935 9.9738
3.0682 2.9805 2.0990
5.0249 0.9935 13.6505
7.1147 2.9805 5.7758
0.2602 0.9935 6.3647
0.8238 2.9805 1.1781
1.5341 0.9935 12.3464
2.5125 2.9805 4.4716
3.2228 0.9935 9.0528
3.7864 2.9805 14.2395
4.3067 0.9935 1.5101
4.8703 2.9805 6.6967
5.5806 0.9935 11.2779
6.5590 2.9805 3.4031
7.2693 0.9935 14.5715
7.8329 2.9805 9.3849
```

Principal peaks in the range 2θ = 5–70°, low angle first:
2θ (°)	I/Imax
24.7	68
28.2	100
30.3	48
31.6	66
32.1	49
33.6	63
33.9	40
38.1	78
40.8	61
45.7	58

***

(11)
Simulated powder X-ray diffraction pattern of CePd2S4 for CuKα, from a PBE-relaxed structure.
Lines closer than 0.1° are merged.

Structural model:
```
CePd2S4
1.0
1.9409 -5.8918 0.0000
1.9409 5.8918 0.0000
0.0000 0.0000 11.6558
Ce Pd S
2 4 8
Cartesian
1.9409 4.4343 8.7419
1.9409 -4.4343 2.9140
1.9409 1.5618 6.6394
1.9409 1.5618 10.8444
1.9409 -1.5618 0.8115
1.9409 -1.5618 5.0165
0.0000 0.0000 0.0000
0.0000 0.0000 5.8279
1.9409 2.6904 1.3003
1.9409 2.6904 4.5276
1.9409 0.4784 8.7419
1.9409 -0.4784 2.9140
1.9409 -2.6904 7.1282
1.9409 -2.6904 10.3555
```

Principal peaks in the range 2θ = 5–70°, low angle first:
2θ (°)	I/Imax
25.3	42
27.5	100
28.7	29
30.3	23
33.4	58
36.0	71
46.1	33
46.8	42
52.2	28
55.1	29

***

(12)
Simulated powder X-ray diffraction pattern of Ce2ZrPdS5 for CuKα, from a PBE-relaxed structure.
Lines closer than 0.1° are merged.

Structural model:
```
Ce2ZrPdS5
1.0
1.9188 -8.2346 0.0000
1.9188 8.2346 0.0000
0.0000 0.0000 11.6725
Ce Zr Pd S
4 2 2 10
Cartesian
1.9188 6.3539 5.8362
1.9188 6.2445 1.4771
1.9188 -6.2445 7.3133
1.9188 -6.3539 0.0000
1.9188 5.1591 9.5596
1.9188 -5.1591 3.7233
1.9188 1.0681 2.8013
1.9188 -1.0681 8.6376
1.9188 7.6157 10.0508
1.9188 3.3865 5.5395
1.9188 3.2877 1.8841
1.9188 2.4754 9.5165
1.9188 0.0880 6.5819
1.9188 -0.0880 0.7457
1.9188 -2.4754 3.6803
1.9188 -3.2877 7.7204
1.9188 -3.3865 11.3758
1.9188 -7.6157 4.2146
```

Principal peaks in the range 2θ = 5–70°, low angle first:
2θ (°)	I/Imax
21.6	31
25.3	67
28.4	59
29.4	30
33.2	100
33.5	39
36.7	24
39.2	71
40.2	26
47.4	30